[1]
Structure and computed powder diffraction line list of Li4MnCo2O7 (a crystal structure in the Materials Project, relaxed with PBE+U; Cu Kα X-rays).
Kinematic intensities with the Lorentz-polarization factor, no thermal factor.

Crystal structure
```
data_Li4MnCo2O7
_chemical_formula_sum 'Li16 Mn4 Co8 O28'
_cell_length_a 33.9419
_cell_length_b 2.9070
_cell_length_c 5.1630
_cell_angle_alpha 90.00
_cell_angle_beta 94.00
_cell_angle_gamma 90.00
_symmetry_space_group_name_H-M 'C 1 m 1'
_symmetry_Int_Tables_number 8
_symmetry_space_group_name_Hall 'C -2y'
loop_
_atom_site_label
_atom_site_type_symbol
_atom_site_fract_x
_atom_site_fract_y
_atom_site_fract_z
Li1 Li 0.0000 0.0000 0.0000
Li2 Li 0.0001 0.5000 0.4793
Li3 Li 0.0706 0.5000 0.8465
Li4 Li 0.1419 0.0000 0.7051
Li5 Li 0.2126 0.5000 0.5587
Li6 Li 0.2841 0.0000 0.4149
Li7 Li 0.3570 0.5000 0.2710
Li8 Li 0.4316 0.0000 0.1379
Mn1 Mn 0.3568 0.0000 0.7673
Mn2 Mn 0.4318 0.5000 0.6134
Co1 Co 0.0681 0.0000 0.3574
Co2 Co 0.1412 0.5000 0.2123
Co3 Co 0.2126 0.0000 0.0669
Co4 Co 0.2844 0.5000 0.9256
O1 O 0.0386 0.5000 0.1713
O2 O 0.0405 0.0000 0.6309
O3 O 0.1065 0.0000 0.0653
O4 O 0.1058 0.5000 0.5100
O5 O 0.1764 0.0000 0.3681
O6 O 0.1788 0.5000 0.9018
O7 O 0.2462 0.5000 0.2304
O8 O 0.2524 0.0000 0.7675
O9 O 0.3168 0.0000 0.0800
O10 O 0.3242 0.5000 0.6039
O11 O 0.3911 0.5000 0.9146
O12 O 0.3975 0.0000 0.4588
O13 O 0.4603 0.0000 0.7931
O14 O 0.4619 0.5000 0.3360
```

Most intense lines, 2θ = 15–90°, in order of rising 2θ:
(2 0 1), d 4.834, 18.35°, intensity 100
(12 0 -1), d 2.551, 35.18°, intensity 15
(7 1 0), d 2.491, 36.05°, intensity 27
(4 0 2), d 2.418, 37.19°, intensity 8
(5 1 -1), d 2.398, 37.50°, intensity 7
(10 0 -2), d 2.122, 42.60°, intensity 29
(9 1 1), d 2.068, 43.78°, intensity 56
(3 1 -2), d 1.917, 47.43°, intensity 9
(11 1 2), d 1.597, 57.74°, intensity 10
(1 1 -3), d 1.481, 62.74°, intensity 30
(18 0 2), d 1.471, 63.22°, intensity 7
(0 2 0), d 1.454, 64.06°, intensity 8

***

[2]
Structure and computed powder diffraction line list of Li7Mn2Co3O12 (a crystal structure in the Materials Project, relaxed with PBE+U; Cu Kα X-rays).
Kinematic intensities with the Lorentz-polarization factor, no thermal factor.

Crystal structure
```
data_Li7Mn2Co3O12
_chemical_formula_sum 'Li7 Mn2 Co3 O12'
_cell_length_a 2.9017
_cell_length_b 7.7684
_cell_length_c 10.2317
_cell_angle_alpha 109.22
_cell_angle_beta 90.86
_cell_angle_gamma 98.56
_symmetry_space_group_name_H-M 'P -1'
_symmetry_Int_Tables_number 2
_symmetry_space_group_name_Hall '-P 1'
loop_
_atom_site_label
_atom_site_type_symbol
_atom_site_fract_x
_atom_site_fract_y
_atom_site_fract_z
Li1 Li 0.0000 0.0000 0.0000
Li2 Li 0.1437 0.3206 0.9192
Li3 Li 0.1701 0.3329 0.4163
Li4 Li 0.4917 0.9909 0.2373
Mn1 Mn 0.3450 0.6779 0.8426
Co1 Co 0.0000 0.0000 0.5000
Co2 Co 0.3208 0.6656 0.3332
O1 O 0.0753 0.1755 0.7046
O2 O 0.1013 0.1863 0.2045
O3 O 0.2186 0.4818 0.1330
O4 O 0.2715 0.4965 0.6363
O5 O 0.4027 0.8411 0.5364
O6 O 0.4090 0.8162 0.0260
```

Most intense lines, 2θ = 15–90°, in order of rising 2θ:
(0 1 -2), d 4.826, 18.38°, intensity 100
(1 1 0), d 2.525, 35.56°, intensity 14
(0 2 2), d 2.517, 35.67°, intensity 14
(1 -2 0), d 2.447, 36.72°, intensity 12
(0 2 -4), d 2.413, 37.27°, intensity 8
(1 2 -2), d 2.110, 42.85°, intensity 30
(0 1 4), d 2.086, 43.37°, intensity 29
(1 -3 2), d 2.033, 44.57°, intensity 26
(1 3 2), d 1.488, 62.41°, intensity 8
(1 1 -6), d 1.479, 62.83°, intensity 16
(1 -2 6), d 1.460, 63.73°, intensity 7
(2 -1 0), d 1.451, 64.20°, intensity 15

***

[3]
Structure and computed powder diffraction line list of Li4MnCo2O7 (a crystal structure in the Materials Project, relaxed with PBE+U; Cu Kα X-rays).
Kinematic intensities with the Lorentz-polarization factor, no thermal factor.

Crystal structure
```
data_Li4MnCo2O7
_chemical_formula_sum 'Li16 Mn4 Co8 O28'
_cell_length_a 12.5870
_cell_length_b 2.9360
_cell_length_c 14.3484
_cell_angle_alpha 90.00
_cell_angle_beta 109.48
_cell_angle_gamma 90.00
_symmetry_space_group_name_H-M 'C 1 m 1'
_symmetry_Int_Tables_number 8
_symmetry_space_group_name_Hall 'C -2y'
loop_
_atom_site_label
_atom_site_type_symbol
_atom_site_fract_x
_atom_site_fract_y
_atom_site_fract_z
Li1 Li 0.0000 0.0000 0.0000
Li2 Li 0.9995 0.0000 0.4954
Li3 Li 0.0696 0.5000 0.3451
Li4 Li 0.1396 0.0000 0.2069
Li5 Li 0.2137 0.5000 0.0763
Li6 Li 0.2994 0.0000 0.9401
Li7 Li 0.3616 0.5000 0.8000
Li8 Li 0.4330 0.0000 0.6423
Mn1 Mn 0.0697 0.5000 0.8572
Mn2 Mn 0.2179 0.5000 0.5741
Co1 Co 0.1444 0.0000 0.7140
Co2 Co 0.2957 0.0000 0.4242
Co3 Co 0.3594 0.5000 0.2761
Co4 Co 0.4338 0.0000 0.1303
O1 O 0.0153 0.0000 0.7556
O2 O 0.0674 0.5000 0.1097
O3 O 0.0867 0.5000 0.6175
O4 O 0.1345 0.0000 0.9437
O5 O 0.1589 0.0000 0.4814
O6 O 0.2014 0.5000 0.8049
O7 O 0.2262 0.5000 0.3308
O8 O 0.2741 0.0000 0.6685
O9 O 0.2929 0.0000 0.1836
O10 O 0.3497 0.5000 0.5383
O11 O 0.3571 0.5000 0.0395
O12 O 0.4279 0.0000 0.3973
O13 O 0.4380 0.0000 0.8839
O14 O 0.4949 0.5000 0.2529
```

Most intense lines, 2θ = 15–90°, in order of rising 2θ:
(2 0 1), d 4.869, 18.22°, intensity 100
(1 1 -3), d 2.501, 35.90°, intensity 26
(4 0 -5), d 2.446, 36.74°, intensity 12
(3 1 -2), d 2.378, 37.83°, intensity 7
(1 1 4), d 2.098, 43.12°, intensity 57
(6 0 -4), d 2.027, 44.71°, intensity 25
(5 1 -1), d 1.896, 47.99°, intensity 8
(3 1 5), d 1.624, 56.67°, intensity 12
(2 0 8), d 1.500, 61.87°, intensity 7
(0 2 0), d 1.468, 63.36°, intensity 22
(5 1 -8), d 1.448, 64.35°, intensity 13
(6 2 -4), d 1.189, 80.84°, intensity 6

***

[4]
Structure and computed powder diffraction line list of Li5Mn2CoO8 (a crystal structure in the Materials Project, relaxed with PBE+U; Cu Kα X-rays).
Kinematic intensities with the Lorentz-polarization factor, no thermal factor.

Crystal structure
```
data_Li5Mn2CoO8
_chemical_formula_sum 'Li5 Mn2 Co1 O8'
_cell_length_a 2.8972
_cell_length_b 5.0860
_cell_length_c 9.7766
_cell_angle_alpha 79.31
_cell_angle_beta 89.14
_cell_angle_gamma 89.90
_symmetry_space_group_name_H-M 'P -1'
_symmetry_Int_Tables_number 2
_symmetry_space_group_name_Hall '-P 1'
loop_
_atom_site_label
_atom_site_type_symbol
_atom_site_fract_x
_atom_site_fract_y
_atom_site_fract_z
Li1 Li 0.0000 0.0000 0.0000
Li2 Li 0.0000 0.5000 0.5000
Li3 Li 0.4933 0.2496 0.7408
Li4 Li 0.5000 0.0000 0.5000
Mn1 Mn 0.0089 0.2325 0.2583
Co1 Co 0.5000 0.5000 0.0000
O1 O 0.0034 0.8995 0.3642
O2 O 0.0257 0.5986 0.1212
O3 O 0.4847 0.8615 0.8639
O4 O 0.4948 0.6399 0.6400
```

Most intense lines, 2θ = 15–90°, in order of rising 2θ:
(0 1 1), d 4.813, 18.43°, intensity 100
(1 0 2), d 2.496, 35.98°, intensity 23
(1 0 -2), d 2.464, 36.46°, intensity 10
(1 1 3), d 2.083, 43.45°, intensity 29
(0 2 -2), d 2.066, 43.83°, intensity 27
(-1 1 3), d 2.056, 44.05°, intensity 27
(-1 2 4), d 1.592, 57.94°, intensity 10
(0 2 6), d 1.478, 62.86°, intensity 7
(1 -1 5), d 1.469, 63.30°, intensity 7
(1 3 1), d 1.463, 63.59°, intensity 14
(1 1 -5), d 1.452, 64.14°, intensity 7
(2 0 0), d 1.448, 64.31°, intensity 8

***

[5]
Structure and computed powder diffraction line list of Li7Mn2Co3O12 (a crystal structure in the Materials Project, relaxed with PBE+U; Cu Kα X-rays).
Kinematic intensities with the Lorentz-polarization factor, no thermal factor.

Crystal structure
```
data_Li7Mn2Co3O12
_chemical_formula_sum 'Li14 Mn4 Co6 O24'
_cell_length_a 5.0249
_cell_length_b 8.7151
_cell_length_c 9.7926
_cell_angle_alpha 90.00
_cell_angle_beta 99.87
_cell_angle_gamma 90.00
_symmetry_space_group_name_H-M 'C 1 2 1'
_symmetry_Int_Tables_number 5
_symmetry_space_group_name_Hall 'C 2y'
loop_
_atom_site_label
_atom_site_type_symbol
_atom_site_fract_x
_atom_site_fract_y
_atom_site_fract_z
Li1 Li 0.0000 0.0000 0.0000
Li2 Li 0.2323 0.8387 0.2275
Li3 Li 0.2406 0.1584 0.2279
Li4 Li 0.2449 0.0014 0.7723
Mn1 Mn 0.0000 0.1651 0.5000
Mn2 Mn 0.0000 0.3326 0.0000
Co1 Co 0.0000 0.5001 0.5000
Co2 Co 0.0000 0.6661 0.0000
Co3 Co 0.0000 0.8333 0.5000
O1 O 0.1067 0.4983 0.8880
O2 O 0.1196 0.0076 0.3862
O3 O 0.1255 0.3261 0.3923
O4 O 0.1392 0.1784 0.8884
O5 O 0.1424 0.8220 0.8878
O6 O 0.1442 0.6649 0.3901
```

Most intense lines, 2θ = 15–90°, in order of rising 2θ:
(0 0 2), d 4.824, 18.39°, intensity 100
(1 1 0), d 4.305, 20.63°, intensity 6
(2 0 0), d 2.477, 36.27°, intensity 37
(1 3 1), d 2.375, 37.88°, intensity 10
(2 0 2), d 2.065, 43.85°, intensity 80
(1 3 3), d 1.898, 47.93°, intensity 12
(2 0 4), d 1.597, 57.73°, intensity 15
(2 0 -6), d 1.468, 63.34°, intensity 21
(0 6 0), d 1.452, 64.16°, intensity 22
(0 6 2), d 1.390, 67.35°, intensity 9
(4 0 -4), d 1.187, 80.97°, intensity 10
(2 0 -8), d 1.166, 82.81°, intensity 6

***

[6]
Structure and computed powder diffraction line list of Li4MnCo2O7 (a crystal structure in the Materials Project, relaxed with PBE+U; Cu Kα X-rays).
Kinematic intensities with the Lorentz-polarization factor, no thermal factor.

Crystal structure
```
data_Li4MnCo2O7
_chemical_formula_sum 'Li8 Mn2 Co4 O14'
_cell_length_a 4.9943
_cell_length_b 5.8982
_cell_length_c 8.8423
_cell_angle_alpha 90.63
_cell_angle_beta 95.24
_cell_angle_gamma 105.98
_symmetry_space_group_name_H-M 'P 1'
_symmetry_Int_Tables_number 1
_symmetry_space_group_name_Hall 'P 1'
loop_
_atom_site_label
_atom_site_type_symbol
_atom_site_fract_x
_atom_site_fract_y
_atom_site_fract_z
Li1 Li 0.0000 0.0000 0.0000
Li2 Li 0.0039 0.4925 0.9936
Li3 Li 0.1378 0.7864 0.2713
Li4 Li 0.2895 0.0659 0.5702
Li5 Li 0.4144 0.3472 0.8603
Li6 Li 0.5725 0.6407 0.1318
Li7 Li 0.7221 0.9243 0.4222
Li8 Li 0.8636 0.2056 0.7199
Mn1 Mn 0.5719 0.1358 0.1352
Mn2 Mn 0.7167 0.4216 0.4199
Co1 Co 0.1450 0.2806 0.2789
Co2 Co 0.2905 0.5706 0.5700
Co3 Co 0.4239 0.8631 0.8565
Co4 Co 0.8539 0.7149 0.7227
O1 O 0.1478 0.5376 0.7746
O2 O 0.1508 0.0143 0.7783
O3 O 0.2982 0.3062 0.0859
O4 O 0.3153 0.8398 0.0709
O5 O 0.4324 0.5746 0.3546
O6 O 0.4355 0.1280 0.3433
O7 O 0.5716 0.8781 0.6380
O8 O 0.5744 0.3984 0.6167
O9 O 0.6980 0.1716 0.9398
O10 O 0.7106 0.6784 0.9104
O11 O 0.8562 0.4365 0.2182
O12 O 0.8596 0.9914 0.2123
O13 O 0.9908 0.7133 0.4917
O14 O 0.9980 0.2616 0.4784
```

Most intense lines, 2θ = 15–90°, in order of rising 2θ:
(0 1 -1), d 4.848, 18.30°, intensity 100
(1 1 2), d 2.504, 35.86°, intensity 13
(-1 1 3), d 2.490, 36.06°, intensity 13
(2 -1 0), d 2.459, 36.54°, intensity 12
(1 2 1), d 2.085, 43.40°, intensity 28
(1 0 -4), d 2.077, 43.57°, intensity 28
(2 -2 1), d 2.054, 44.09°, intensity 27
(1 -2 5), d 1.477, 62.93°, intensity 7
(2 2 -3), d 1.474, 63.09°, intensity 15
(0 2 5), d 1.470, 63.25°, intensity 7
(3 0 2), d 1.453, 64.10°, intensity 7
(-3 2 3), d 1.445, 64.50°, intensity 7

***

[7]
Structure and computed powder diffraction line list of Li7Mn4CoO12 (a crystal structure in the Materials Project, relaxed with PBE+U; Cu Kα X-rays).
Kinematic intensities with the Lorentz-polarization factor, no thermal factor.

Crystal structure
```
data_Li7Mn4CoO12
_chemical_formula_sum 'Li7 Mn4 Co1 O12'
_cell_length_a 2.9740
_cell_length_b 6.4411
_cell_length_c 12.0673
_cell_angle_alpha 102.60
_cell_angle_beta 94.29
_cell_angle_gamma 102.94
_symmetry_space_group_name_H-M 'P -1'
_symmetry_Int_Tables_number 2
_symmetry_space_group_name_Hall '-P 1'
loop_
_atom_site_label
_atom_site_type_symbol
_atom_site_fract_x
_atom_site_fract_y
_atom_site_fract_z
Li1 Li 0.0000 0.0000 0.0000
Li2 Li 0.0473 0.0028 0.2365
Li3 Li 0.3424 0.6874 0.0856
Li4 Li 0.3554 0.6723 0.5761
Mn1 Mn 0.3055 0.6728 0.8400
Mn2 Mn 0.3690 0.6739 0.3304
Co1 Co 0.0000 0.0000 0.5000
O1 O 0.1129 0.3414 0.7909
O2 O 0.1708 0.3391 0.0574
O3 O 0.1751 0.3197 0.5432
O4 O 0.2322 0.3487 0.2758
O5 O 0.4660 0.9722 0.8706
O6 O 0.4744 0.0085 0.6173
```

Most intense lines, 2θ = 15–90°, in order of rising 2θ:
(0 1 -2), d 4.839, 18.33°, intensity 100
(-1 1 2), d 2.606, 34.41°, intensity 15
(0 2 2), d 2.468, 36.41°, intensity 16
(1 0 2), d 2.455, 36.60°, intensity 12
(1 0 -4), d 2.196, 41.11°, intensity 33
(1 -1 4), d 2.037, 44.47°, intensity 27
(0 3 0), d 2.030, 44.63°, intensity 27
(0 1 -8), d 1.504, 61.66°, intensity 8
(-1 3 4), d 1.496, 62.04°, intensity 8
(1 3 -4), d 1.486, 62.52°, intensity 8
(2 -1 0), d 1.483, 62.66°, intensity 7
(1 -4 4), d 1.445, 64.50°, intensity 7

***

[8]
Structure and computed powder diffraction line list of Li7Mn2Co3O12 (a crystal structure in the Materials Project, relaxed with PBE+U; Cu Kα X-rays).
Kinematic intensities with the Lorentz-polarization factor, no thermal factor.

Crystal structure
```
data_Li7Mn2Co3O12
_chemical_formula_sum 'Li7 Mn2 Co3 O12'
_cell_length_a 5.0809
_cell_length_b 2.9209
_cell_length_c 14.5684
_cell_angle_alpha 90.00
_cell_angle_beta 91.31
_cell_angle_gamma 90.00
_symmetry_space_group_name_H-M 'P 1 m 1'
_symmetry_Int_Tables_number 6
_symmetry_space_group_name_Hall 'P -2y'
loop_
_atom_site_label
_atom_site_type_symbol
_atom_site_fract_x
_atom_site_fract_y
_atom_site_fract_z
Li1 Li 0.0000 0.0000 0.0000
Li2 Li 0.0018 0.0000 0.4941
Li3 Li 0.1524 0.5000 0.6473
Li4 Li 0.3375 0.0000 0.3320
Li5 Li 0.5058 0.5000 0.9983
Li6 Li 0.6707 0.0000 0.6507
Li7 Li 0.8540 0.5000 0.3382
Mn1 Mn 0.3343 0.0000 0.8279
Mn2 Mn 0.5026 0.5000 0.4939
Co1 Co 0.1713 0.5000 0.1623
Co2 Co 0.6711 0.0000 0.1622
Co3 Co 0.8348 0.5000 0.8267
O1 O 0.0110 0.0000 0.7550
O2 O 0.1954 0.5000 0.4157
O3 O 0.1957 0.5000 0.9031
O4 O 0.3463 0.0000 0.0833
O5 O 0.3526 0.0000 0.5677
O6 O 0.4701 0.5000 0.7542
O7 O 0.4907 0.5000 0.2362
O8 O 0.6522 0.0000 0.4211
O9 O 0.6605 0.0000 0.9008
O10 O 0.8097 0.5000 0.5743
O11 O 0.8477 0.5000 0.0822
O12 O 0.9882 0.0000 0.2380
```

Most intense lines, 2θ = 15–90°, in order of rising 2θ:
(0 0 3), d 4.854, 18.28°, intensity 100
(1 1 -1), d 2.500, 35.93°, intensity 28
(2 0 1), d 2.492, 36.04°, intensity 14
(1 1 2), d 2.383, 37.75°, intensity 7
(1 1 -4), d 2.090, 43.29°, intensity 56
(2 0 4), d 2.061, 43.93°, intensity 27
(1 1 5), d 1.900, 47.87°, intensity 8
(1 1 -7), d 1.617, 56.95°, intensity 11
(2 0 -8), d 1.496, 62.04°, intensity 8
(1 1 8), d 1.470, 63.25°, intensity 14
(3 1 0), d 1.465, 63.51°, intensity 15
(0 2 0), d 1.460, 63.72°, intensity 8